Theoretical PXRD pattern of Na5BiP4O14 for λ = 1.5418 Å (Cu Kα), from a crystal structure in the Materials Project, relaxed with GGA-PBE.
No peak broadening, texture or thermal motion is included.

Structural model:
```
data_Na5BiP4O14
_chemical_formula_sum 'Na10 Bi2 P8 O28'
_space_group_name_H-M_alt 'P -1'
_space_group_IT_number 2
_cell_length_a 7.3915
_cell_length_b 9.4205
_cell_length_c 9.9480
_cell_angle_alpha 81.14
_cell_angle_beta 77.76
_cell_angle_gamma 70.45
loop_
_space_group_symop_operation_xyz
'x,y,z'
'-x,-y,-z'
loop_
_atom_site_label
_atom_site_fract_x
_atom_site_fract_y
_atom_site_fract_z
Na1 0.0628 0.4867 0.1587
Na2 0.2456 0.7349 0.8796
Na3 0.2771 0.2641 0.5965
Na4 0.3452 0.1516 0.2687
Na5 0.4322 0.4759 0.3389
Bi1 0.1296 0.8740 0.2311
P1 0.0979 0.6528 0.5453
P2 0.1798 0.1358 0.9679
P3 0.2810 0.8898 0.5488
P4 0.4115 0.3399 0.9470
O1 0.0364 0.2370 0.8697
O2 0.1016 0.3530 0.3813
O3 0.1029 0.1744 0.1180
O4 0.1101 0.6773 0.3847
O5 0.1117 0.8083 0.5915
O6 0.1873 0.0377 0.6196
O7 0.2308 0.9682 0.9524
O8 0.2438 0.4760 0.9071
O9 0.2722 0.5211 0.5814
O10 0.3218 0.9148 0.3891
O11 0.3764 0.1841 0.9137
O12 0.3922 0.6689 0.1515
O13 0.4254 0.3272 0.0990
O14 0.4606 0.7856 0.6057
```

Main lines, low angle first (2θ = 15–90°):
two_theta	d [Å]	I_rel
20.2	4.393	65
20.5	4.333	49
21.4	4.153	100
21.7	4.093	33
22.9	3.891	31
29.4	3.038	68
32.0	2.799	52
32.4	2.762	43
32.6	2.745	67
36.7	2.447	39